For CaAgN2F, a DFT-relaxed cell (PBE, Alexandria) gives the calculated powder XRD pattern in this record (Cu Ka).
Lines closer than 0.1° are merged.

Structure:
```
data_CaAgN2F
_space_group_name_H-M_alt 'P 4/m m m'
_space_group_IT_number 123
_space_group_name_Hall '-P 4 2'
_cell_length_a 4.014
_cell_length_b 4.014
_cell_length_c 4.750
_cell_angle_alpha 90.00
_cell_angle_beta 90.00
_cell_angle_gamma 90.00
loop_
_atom_site_label
_atom_site_type_symbol
_atom_site_fract_x
_atom_site_fract_y
_atom_site_fract_z
Ca1 Ca 0.000 0.000 0.000
Ag1 Ag 0.500 0.500 0.500
N1 N 0.000 0.500 0.500
F1 F 0.500 0.500 0.000
```

The 12 most intense peaks (2θ from 5° to 70°), in order of rising 2θ:
hkl 0 0 1, d 4.750, 2θ = 18.68°, I 25.1
hkl 1 0 0, d 4.014, 2θ = 22.15°, I 44.1
hkl 1 0 1, d 3.066, 2θ = 29.13°, I 100.0
hkl 1 1 0, d 2.838, 2θ = 31.52°, I 48.3
hkl 0 0 2, d 2.375, 2θ = 37.89°, I 26.9
hkl 1 0 2, d 2.044, 2θ = 44.32°, I 13.7
hkl 2 0 0, d 2.007, 2θ = 45.18°, I 31.0
hkl 1 1 2, d 1.821, 2θ = 50.08°, I 25.5
hkl 2 1 0, d 1.795, 2θ = 50.87°, I 8.9
hkl 2 1 1, d 1.679, 2θ = 54.66°, I 32.4
hkl 2 0 2, d 1.533, 2θ = 60.39°, I 23.4
hkl 1 0 3, d 1.473, 2θ = 63.13°, I 10.3


For RbCaAg2F8, a DFT-relaxed cell (PBE, Alexandria) gives the calculated powder XRD pattern in this record (Cu Ka).
Lines closer than 0.1° are merged.

Structure:
```
data_RbCaAg2F8
_space_group_name_H-M_alt 'I -4'
_space_group_IT_number 82
_cell_length_a 6.186
_cell_length_b 6.186
_cell_length_c 9.764
_cell_angle_alpha 90.00
_cell_angle_beta 90.00
_cell_angle_gamma 90.00
loop_
_space_group_symop_operation_xyz
'x,y,z'
'y,-x,-z'
'-x,-y,z'
'-y,x,-z'
'x+1/2,y+1/2,z+1/2'
'y+1/2,-x+1/2,-z+1/2'
'-x+1/2,-y+1/2,z+1/2'
'-y+1/2,x+1/2,-z+1/2'
loop_
_atom_site_label
_atom_site_type_symbol
_atom_site_fract_x
_atom_site_fract_y
_atom_site_fract_z
Rb1 Rb 0.000 0.000 0.000
Ca1 Ca 0.000 0.500 0.750
Ag1 Ag 0.000 0.000 0.500
Ag2 Ag 0.000 0.500 0.250
F1 F 0.018 0.317 0.514
F2 F 0.191 0.211 0.242
```

The 12 most intense peaks (2θ from 5° to 70°), in order of rising 2θ:
hkl 1 0 1, d 5.225, 2θ = 16.97°, I 22.4
hkl 1 1 2, d 3.258, 2θ = 27.38°, I 100.0
hkl 2 0 0, d 3.093, 2θ = 28.87°, I 39.9
hkl 2 0 2, d 2.613, 2θ = 34.32°, I 8.1
hkl 0 0 4, d 2.441, 2θ = 36.82°, I 29.0
hkl 2 2 0, d 2.187, 2θ = 41.28°, I 20.4
hkl 2 0 4, d 1.916, 2θ = 47.45°, I 20.1
hkl 1 3 2, d 1.816, 2θ = 50.25°, I 54.6
hkl 2 2 4, d 1.629, 2θ = 56.50°, I 15.7
hkl 4 0 0, d 1.546, 2θ = 59.80°, I 8.4
hkl 1 1 6, d 1.525, 2θ = 60.72°, I 11.1
hkl 3 3 2, d 1.397, 2θ = 66.98°, I 10.1


For SrCaAg2F8, a DFT-relaxed cell (PBE, Alexandria) gives the calculated powder XRD pattern in this record (Cu Ka).
Lines closer than 0.1° are merged.

Structure:
```
data_SrCaAg2F8
_space_group_name_H-M_alt 'I -4 m 2'
_space_group_IT_number 119
_space_group_name_Hall 'I -4 -2'
_cell_length_a 5.579
_cell_length_b 5.579
_cell_length_c 11.248
_cell_angle_alpha 90.00
_cell_angle_beta 90.00
_cell_angle_gamma 90.00
loop_
_atom_site_label
_atom_site_type_symbol
_atom_site_fract_x
_atom_site_fract_y
_atom_site_fract_z
Sr1 Sr 0.000 0.000 0.000
Ca1 Ca 0.000 0.500 0.750
Ag1 Ag 0.000 0.000 0.500
Ag2 Ag 0.000 0.500 0.250
F1 F 0.242 0.243 0.629
```

The 12 most intense peaks (2θ from 5° to 70°), in order of rising 2θ:
hkl 1 0 1, d 4.998, 2θ = 17.75°, I 12.6
hkl 1 1 2, d 3.230, 2θ = 27.62°, I 100.0
hkl 1 0 3, d 3.112, 2θ = 28.69°, I 3.8
hkl 0 0 4, d 2.812, 2θ = 31.82°, I 5.2
hkl 2 0 0, d 2.789, 2θ = 32.09°, I 10.1
hkl 2 1 1, d 2.436, 2θ = 36.90°, I 3.9
hkl 2 0 4, d 1.980, 2θ = 45.82°, I 48.3
hkl 2 2 0, d 1.972, 2θ = 46.02°, I 23.8
hkl 1 1 6, d 1.693, 2θ = 54.17°, I 14.3
hkl 3 1 2, d 1.683, 2θ = 54.51°, I 28.1
hkl 2 2 4, d 1.615, 2θ = 57.03°, I 4.6
hkl 4 0 0, d 1.395, 2θ = 67.11°, I 6.7


For CaZnAgF6, a DFT-relaxed cell (PBE, Alexandria) gives the calculated powder XRD pattern in this record (Cu Ka).
Lines closer than 0.1° are merged.

Structure:
```
data_CaZnAgF6
_space_group_name_H-M_alt 'P 42 n m'
_space_group_IT_number 102
_cell_length_a 5.014
_cell_length_b 5.014
_cell_length_c 10.460
_cell_angle_alpha 90.00
_cell_angle_beta 90.00
_cell_angle_gamma 90.00
loop_
_space_group_symop_operation_xyz
'x,y,z'
'-y+1/2,x+1/2,z+1/2'
'-x,-y,z'
'y+1/2,-x+1/2,z+1/2'
'-x+1/2,y+1/2,z+1/2'
'y,x,z'
'x+1/2,-y+1/2,z+1/2'
'-y,-x,z'
loop_
_atom_site_label
_atom_site_type_symbol
_atom_site_fract_x
_atom_site_fract_y
_atom_site_fract_z
Ca1 Ca 0.000 0.000 0.000
Zn1 Zn 0.000 0.000 0.663
Ag1 Ag 0.000 0.000 0.329
F1 F 0.187 0.187 0.513
F2 F 0.193 0.193 0.820
F3 F 0.215 0.215 0.163
```

The 12 most intense peaks (2θ from 5° to 70°), in order of rising 2θ:
hkl 1 0 1, d 4.521, 2θ = 19.64°, I 23.2
hkl 1 1 0, d 3.545, 2θ = 25.12°, I 100.0
hkl 1 1 2, d 2.935, 2θ = 30.46°, I 7.3
hkl 1 0 3, d 2.863, 2θ = 31.25°, I 70.6
hkl 2 0 0, d 2.507, 2θ = 35.82°, I 12.0
hkl 1 1 3, d 2.486, 2θ = 36.13°, I 14.3
hkl 2 1 3, d 1.886, 2θ = 48.26°, I 71.3
hkl 2 2 0, d 1.773, 2θ = 51.56°, I 19.7
hkl 0 0 6, d 1.743, 2θ = 52.49°, I 11.3
hkl 3 1 0, d 1.585, 2θ = 58.19°, I 12.2
hkl 1 1 6, d 1.564, 2θ = 59.05°, I 16.3
hkl 3 0 3, d 1.507, 2θ = 61.53°, I 24.0


For Ca6GaAg2, a DFT-relaxed cell (PBE, Alexandria) gives the calculated powder XRD pattern in this record (Cu Ka).
Lines closer than 0.1° are merged.

Structure:
```
data_Ca6GaAg2
_space_group_name_H-M_alt 'F m m m'
_space_group_IT_number 69
_space_group_name_Hall '-F 2 2'
_cell_length_a 5.279
_cell_length_b 13.195
_cell_length_c 15.907
_cell_angle_alpha 90.00
_cell_angle_beta 90.00
_cell_angle_gamma 90.00
loop_
_atom_site_label
_atom_site_type_symbol
_atom_site_fract_x
_atom_site_fract_y
_atom_site_fract_z
Ca1 Ca 0.000 0.135 0.000
Ca2 Ca 0.000 0.136 0.334
Ga1 Ga 0.000 0.000 0.500
Ag1 Ag 0.000 0.000 0.165
```

The 12 most intense peaks (2θ from 5° to 70°), in order of rising 2θ:
hkl 0 2 0, d 6.598, 2θ = 13.42°, I 50.4
hkl 1 1 3, d 3.599, 2θ = 24.74°, I 11.4
hkl 1 3 3, d 2.850, 2θ = 31.39°, I 100.0
hkl 0 0 6, d 2.651, 2θ = 33.81°, I 23.9
hkl 2 0 0, d 2.640, 2θ = 33.96°, I 23.6
hkl 0 2 6, d 2.460, 2θ = 36.53°, I 8.9
hkl 2 2 0, d 2.451, 2θ = 36.67°, I 8.8
hkl 1 5 3, d 2.156, 2θ = 41.89°, I 28.5
hkl 2 0 6, d 1.871, 2θ = 48.68°, I 16.0
hkl 1 3 9, d 1.566, 2θ = 58.98°, I 14.7
hkl 3 3 3, d 1.561, 2θ = 59.18°, I 14.6
hkl 2 8 0, d 1.400, 2θ = 66.85°, I 10.3


For Ca3Ga5Ag6, a DFT-relaxed cell (PBE, Alexandria) gives the calculated powder XRD pattern in this record (Cu Ka).
Lines closer than 0.1° are merged.

Structure:
```
data_Ca3Ga5Ag6
_space_group_name_H-M_alt 'P m m n'
_space_group_IT_number 59
_cell_length_a 4.576
_cell_length_b 13.617
_cell_length_c 9.255
_cell_angle_alpha 90.00
_cell_angle_beta 90.00
_cell_angle_gamma 90.00
loop_
_space_group_symop_operation_xyz
'x,y,z'
'-x,-y,-z'
'-x+1/2,-y+1/2,z'
'x+1/2,y+1/2,-z'
'x+1/2,-y,-z'
'-x+1/2,y,z'
'-x,y+1/2,-z'
'x,-y+1/2,z'
loop_
_atom_site_label
_atom_site_type_symbol
_atom_site_fract_x
_atom_site_fract_y
_atom_site_fract_z
Ca1 Ca 0.250 0.047 0.248
Ca2 Ca 0.250 0.750 0.254
Ga1 Ga 0.250 0.084 0.600
Ga2 Ga 0.250 0.620 0.967
Ga3 Ga 0.250 0.750 0.752
Ag1 Ag 0.250 0.081 0.886
Ag2 Ag 0.250 0.250 0.063
Ag3 Ag 0.250 0.250 0.432
Ag4 Ag 0.250 0.617 0.533
```

The 12 most intense peaks (2θ from 5° to 70°), in order of rising 2θ:
hkl 0 0 2, d 4.627, 2θ = 19.18°, I 48.9
hkl 0 3 1, d 4.075, 2θ = 21.81°, I 27.8
hkl 0 4 2, d 2.742, 2θ = 32.66°, I 26.3
hkl 1 3 2, d 2.644, 2θ = 33.90°, I 100.0
hkl 1 4 1, d 2.619, 2θ = 34.23°, I 27.1
hkl 0 3 3, d 2.554, 2θ = 35.13°, I 49.8
hkl 1 2 3, d 2.394, 2θ = 37.56°, I 66.8
hkl 1 5 0, d 2.340, 2θ = 38.47°, I 42.7
hkl 2 0 0, d 2.288, 2θ = 39.38°, I 80.8
hkl 0 6 0, d 2.270, 2θ = 39.72°, I 39.2
hkl 1 5 2, d 2.088, 2θ = 43.33°, I 28.7
hkl 1 4 3, d 2.044, 2θ = 44.33°, I 91.7


For Ca2Ga2Ag5, a DFT-relaxed cell (PBE, Alexandria) gives the calculated powder XRD pattern in this record (Cu Ka).
Lines closer than 0.1° are merged.

Structure:
```
data_Ca2Ga2Ag5
_space_group_name_H-M_alt 'P 4/m m m'
_space_group_IT_number 123
_space_group_name_Hall '-P 4 2'
_cell_length_a 4.390
_cell_length_b 4.390
_cell_length_c 9.857
_cell_angle_alpha 90.00
_cell_angle_beta 90.00
_cell_angle_gamma 90.00
loop_
_atom_site_label
_atom_site_type_symbol
_atom_site_fract_x
_atom_site_fract_y
_atom_site_fract_z
Ca1 Ca 0.000 0.000 0.000
Ca2 Ca 0.000 0.000 0.500
Ga1 Ga 0.500 0.500 0.129
Ag1 Ag 0.000 0.500 0.278
Ag2 Ag 0.500 0.500 0.500
```

The 12 most intense peaks (2θ from 5° to 70°), in order of rising 2θ:
hkl 0 0 1, d 9.857, 2θ = 8.97°, I 10.2
hkl 0 0 2, d 4.928, 2θ = 18.00°, I 15.3
hkl 1 0 0, d 4.390, 2θ = 20.23°, I 13.0
hkl 1 1 2, d 2.627, 2θ = 34.13°, I 100.0
hkl 0 0 4, d 2.464, 2θ = 36.46°, I 7.7
hkl 1 1 3, d 2.256, 2θ = 39.96°, I 30.1
hkl 2 0 0, d 2.195, 2θ = 41.12°, I 43.5
hkl 0 0 5, d 1.971, 2θ = 46.04°, I 7.3
hkl 1 1 4, d 1.930, 2θ = 47.09°, I 8.2
hkl 2 0 4, d 1.639, 2θ = 56.11°, I 8.1
hkl 2 2 0, d 1.552, 2θ = 59.56°, I 13.7
hkl 2 0 5, d 1.467, 2θ = 63.42°, I 10.7


For Ca3Ga2Ag2, a DFT-relaxed cell (PBE, Alexandria) gives the calculated powder XRD pattern in this record (Cu Ka).
Lines closer than 0.1° are merged.

Structure:
```
data_Ca3Ga2Ag2
_space_group_name_H-M_alt 'P b c m'
_space_group_IT_number 57
_cell_length_a 5.901
_cell_length_b 8.274
_cell_length_c 14.143
_cell_angle_alpha 90.00
_cell_angle_beta 90.00
_cell_angle_gamma 90.00
loop_
_space_group_symop_operation_xyz
'x,y,z'
'-x,-y,-z'
'-x,-y,z+1/2'
'x,y,-z+1/2'
'x,-y+1/2,-z'
'-x,y+1/2,z'
'-x,y+1/2,-z+1/2'
'x,-y+1/2,z+1/2'
loop_
_atom_site_label
_atom_site_type_symbol
_atom_site_fract_x
_atom_site_fract_y
_atom_site_fract_z
Ca1 Ca 0.132 0.106 0.104
Ca2 Ca 0.352 0.748 0.250
Ga1 Ga 0.147 0.104 0.750
Ga2 Ga 0.327 0.750 0.000
Ag1 Ag 0.379 0.042 0.591
```

The 12 most intense peaks (2θ from 5° to 70°), in order of rising 2θ:
hkl 0 0 2, d 7.072, 2θ = 12.52°, I 17.0
hkl 1 0 0, d 5.901, 2θ = 15.01°, I 31.5
hkl 1 0 2, d 4.542, 2θ = 19.54°, I 72.1
hkl 1 1 4, d 2.848, 2θ = 31.41°, I 22.9
hkl 1 2 3, d 2.751, 2θ = 32.55°, I 42.3
hkl 0 2 4, d 2.688, 2θ = 33.34°, I 36.7
hkl 1 3 0, d 2.499, 2θ = 35.94°, I 52.9
hkl 1 2 4, d 2.446, 2θ = 36.74°, I 22.3
hkl 2 1 3, d 2.394, 2θ = 37.57°, I 100.0
hkl 0 0 6, d 2.357, 2θ = 38.18°, I 23.1
hkl 1 3 3, d 2.208, 2θ = 40.88°, I 17.0
hkl 0 2 6, d 2.048, 2θ = 44.23°, I 22.2